# CeTh3O8
Computed X-ray powder pattern, Cu Ka. Input: DFT lattice parameters and positions (PBE).
Intensities are scaled so that the largest is 100.

Most intense lines, 10° ≤ 2θ ≤ 80°, sorted by position:
hkl 2 2 0, 2θ 27.67, intensity 100
hkl 2 0 1, 2θ 32.06, intensity 36
hkl 4 0 0, 2θ 45.98, intensity 51
hkl 4 2 1, 2θ 54.51, intensity 47
hkl 4 4 0, 2θ 57.15, intensity 10
hkl 4 0 2, 2θ 67.05, intensity 8
hkl 6 2 0, 2θ 74.01, intensity 19
hkl 6 0 1, 2θ 76.27, intensity 14

Structural model:
Unit cell a=7.895 b=11.166 c=3.949 alpha=90.00 beta=90.00 gamma=90.00
Space group Cmmm (No. 65)
One atom of each set of equivalent atoms:
Ce1 0.000 0.000 0.000 x2
Th1 0.000 0.500 0.000 x2
Th2 0.250 0.250 0.500 x4
O1 0.000 0.123 0.500 x4
O2 0.000 0.375 0.500 x4
O3 0.248 0.124 0.000 x8